# 1
Structure and computed powder diffraction line list of Ac2SiSe5 (the PBE geometry in Alexandria; Cu Kα (λ = 1.5418 Å)).

```
Ac2SiSe5
1.0
7.2307 0.0000 0.0000
0.0000 7.2307 0.0000
0.0000 0.0000 8.7183
Ac Si Se
4 2 10
Direct
0.0000 0.5000 0.0000 Ac
0.0000 0.5000 0.5000 Ac
0.5000 0.0000 0.0000 Ac
0.5000 0.0000 0.5000 Ac
0.0000 0.0000 0.2101 Si
0.5000 0.5000 0.7101 Si
0.0000 0.0000 0.9531 Se
0.2301 0.2301 0.2710 Se
0.2301 0.7699 0.2710 Se
0.2699 0.2699 0.7710 Se
0.2699 0.7301 0.7710 Se
0.5000 0.5000 0.4531 Se
0.7301 0.2699 0.7710 Se
0.7301 0.7301 0.7710 Se
0.7699 0.2301 0.2710 Se
0.7699 0.7699 0.2710 Se
```

Top 10 peaks for 2θ from 10° to 80°, sorted by position:
| d_spacing | intensity |
| --- | --- |
| 5.113 | 371 |
| 3.317 | 423 |
| 2.783 | 1000 |
| 2.556 | 467 |
| 2.180 | 120 |
| 2.025 | 200 |
| 1.808 | 159 |
| 1.659 | 197 |
| 1.516 | 292 |
| 1.348 | 145 |

=====

# 2
Structure and computed powder diffraction line list of Ac8Si5Se (the PBE geometry in Alexandria; Cu Kα (λ = 1.5418 Å)).

```
Ac8Si5Se
1.0
-4.8330 4.8330 4.8292
4.8330 -4.8330 4.8292
4.8330 4.8330 -4.8292
Ac Si Se
8 5 1
Direct
0.1273 0.2485 0.7474 Ac
0.1299 0.7408 0.7513 Ac
0.2592 0.0105 0.3891 Ac
0.5011 0.3799 0.2526 Ac
0.6201 0.8727 0.1212 Ac
0.6213 0.8701 0.6109 Ac
0.7515 0.4989 0.8788 Ac
0.9895 0.3787 0.2487 Ac
0.2472 0.6271 0.1256 Si
0.3729 0.4985 0.6200 Si
0.5015 0.1216 0.8744 Si
0.7500 0.2500 0.5000 Si
0.8784 0.7528 0.3800 Si
0.0000 0.0000 0.0000 Se
```

Top 10 peaks for 2θ from 10° to 80°, sorted by position:
| d_spacing | intensity |
| --- | --- |
| 3.945 | 525 |
| 3.416 | 371 |
| 3.056 | 1000 |
| 2.583 | 659 |
| 1.973 | 275 |
| 1.895 | 580 |
| 1.568 | 227 |
| 1.528 | 139 |
| 1.491 | 201 |
| 1.315 | 148 |

=====

# 3
Structure and computed powder diffraction line list of AcSm2TmSe4 (the PBE geometry in Alexandria; Cu Kα (λ = 1.5418 Å)).

```
AcSm2TmSe4
1.0
7.1929 0.0000 0.0000
0.0000 4.1316 0.0000
-2.3801 0.0000 7.1379
Ac Sm Tm Se
1 2 1 4
Direct
0.0000 0.0000 0.0000 Ac
0.5000 0.0000 0.5000 Sm
0.5000 0.5000 0.0000 Sm
0.0000 0.5000 0.5000 Tm
0.2440 0.0000 0.7315 Se
0.2571 0.5000 0.2699 Se
0.7429 0.5000 0.7301 Se
0.7560 0.0000 0.2685 Se
```

Top 10 peaks for 2θ from 10° to 80°, sorted by position:
| d_spacing | intensity |
| --- | --- |
| 3.396 | 124 |
| 2.980 | 1000 |
| 2.150 | 130 |
| 2.143 | 258 |
| 2.074 | 241 |
| 2.066 | 121 |
| 1.698 | 128 |
| 1.490 | 122 |
| 1.351 | 113 |
| 1.316 | 110 |

=====

# 4
Structure and computed powder diffraction line list of Ac7SnSe5 (the PBE geometry in Alexandria; Cu Kα (λ = 1.5418 Å)).

```
Ac7SnSe5
1.0
2.2696 -7.2872 0.0000
2.2696 7.2872 0.0000
0.0000 0.0000 26.7127
Ac Sn Se
14 2 10
Direct
0.0285 0.9715 0.7500 Ac
0.1363 0.8637 0.0360 Ac
0.1363 0.8637 0.4640 Ac
0.3146 0.6854 0.6776 Ac
0.3146 0.6854 0.8224 Ac
0.4045 0.5955 0.1123 Ac
0.4045 0.5955 0.3877 Ac
0.5955 0.4045 0.6123 Ac
0.5955 0.4045 0.8877 Ac
0.6854 0.3146 0.1776 Ac
0.6854 0.3146 0.3224 Ac
0.8637 0.1363 0.5360 Ac
0.8637 0.1363 0.9640 Ac
0.9715 0.0285 0.2500 Ac
0.3020 0.6980 0.2500 Sn
0.6980 0.3020 0.7500 Sn
0.0455 0.9545 0.1406 Se
0.0455 0.9545 0.3594 Se
0.2278 0.7722 0.5701 Se
0.2278 0.7722 0.9299 Se
0.5000 0.5000 0.0000 Se
0.5000 0.5000 0.5000 Se
0.7722 0.2278 0.0701 Se
0.7722 0.2278 0.4299 Se
0.9545 0.0455 0.6406 Se
0.9545 0.0455 0.8594 Se
```

Top 10 peaks for 2θ from 10° to 80°, sorted by position:
| d_spacing | intensity |
| --- | --- |
| 3.636 | 382 |
| 3.381 | 943 |
| 3.219 | 1000 |
| 3.108 | 693 |
| 3.036 | 300 |
| 2.449 | 297 |
| 2.271 | 702 |
| 2.229 | 325 |
| 2.211 | 247 |
| 1.885 | 469 |

=====

# 5
Structure and computed powder diffraction line list of Ac3SnSe2 (the PBE geometry in Alexandria; Cu Kα (λ = 1.5418 Å)).

```
Ac3SnSe2
1.0
3.9755 -6.9189 0.0000
3.9755 6.9189 0.0000
-2.6777 0.0000 7.5549
Ac Sn Se
6 2 4
Direct
0.0000 0.5000 0.0000 Ac
0.1587 0.3288 0.4987 Ac
0.3288 0.1587 0.9987 Ac
0.5000 0.0000 0.5000 Ac
0.6712 0.8413 0.0013 Ac
0.8413 0.6712 0.5013 Ac
0.4175 0.5825 0.2500 Sn
0.5825 0.4175 0.7500 Sn
0.0835 0.9165 0.2500 Se
0.2520 0.7480 0.7500 Se
0.7480 0.2520 0.2500 Se
0.9165 0.0835 0.7500 Se
```

Top 10 peaks for 2θ from 10° to 80°, sorted by position:
| d_spacing | intensity |
| --- | --- |
| 3.766 | 151 |
| 3.260 | 1000 |
| 2.310 | 396 |
| 2.300 | 389 |
| 1.883 | 144 |
| 1.630 | 137 |
| 1.461 | 128 |
| 1.458 | 126 |
| 1.454 | 125 |
| 1.333 | 95 |

=====

# 6
Structure and computed powder diffraction line list of Ac4SnSe7 (the PBE geometry in Alexandria; Cu Kα (λ = 1.5418 Å)).

```
Ac4SnSe7
1.0
7.2907 -2.1854 0.0000
7.2907 2.1854 0.0000
-3.4024 0.0000 12.3635
Ac Sn Se
4 1 7
Direct
0.0000 0.0000 0.0000 Ac
0.2076 0.2076 0.7759 Ac
0.5948 0.5948 0.3776 Ac
0.8998 0.8998 0.5621 Ac
0.7699 0.7699 0.1397 Sn
0.1526 0.1526 0.2178 Se
0.2404 0.2404 0.5232 Se
0.3614 0.3614 0.0345 Se
0.5592 0.5592 0.6221 Se
0.6242 0.6242 0.9238 Se
0.8543 0.8543 0.7799 Se
0.9397 0.9397 0.3421 Se
```

Top 10 peaks for 2θ from 10° to 80°, sorted by position:
| d_spacing | intensity |
| --- | --- |
| 4.130 | 938 |
| 4.055 | 1000 |
| 3.240 | 615 |
| 3.198 | 912 |
| 3.075 | 870 |
| 2.967 | 693 |
| 2.584 | 404 |
| 2.395 | 735 |
| 2.185 | 603 |
| 2.164 | 419 |

=====

# 7
Structure and computed powder diffraction line list of AcSn2Se8 (the PBE geometry in Alexandria; Cu Kα (λ = 1.5418 Å)).

```
AcSn2Se8
1.0
-3.9467 3.9467 5.3973
3.9467 -3.9467 5.3973
3.9467 3.9467 -5.3973
Ac Sn Se
1 2 8
Direct
0.0000 0.0000 0.0000 Ac
0.2500 0.7500 0.5000 Sn
0.7500 0.2500 0.5000 Sn
0.1489 0.1489 0.5225 Se
0.1489 0.6263 0.0000 Se
0.3737 0.3737 0.5225 Se
0.3737 0.8511 0.0000 Se
0.6263 0.1489 0.0000 Se
0.6263 0.6263 0.4775 Se
0.8511 0.3737 0.0000 Se
0.8511 0.8511 0.4775 Se
```

Top 10 peaks for 2θ from 10° to 80°, sorted by position:
| d_spacing | intensity |
| --- | --- |
| 6.372 | 405 |
| 3.880 | 826 |
| 3.355 | 347 |
| 3.274 | 150 |
| 2.791 | 991 |
| 2.266 | 401 |
| 2.228 | 1000 |
| 1.973 | 355 |
| 1.477 | 523 |
| 1.248 | 151 |

=====

# 8
Structure and computed powder diffraction line list of Ac2SnSe3 (the PBE geometry in Alexandria; Cu Kα (λ = 1.5418 Å)).

```
Ac2SnSe3
1.0
3.9806 0.0000 0.0000
0.0000 5.4918 0.0000
0.0000 0.0000 17.0477
Ac Sn Se
4 2 6
Direct
0.0000 0.0000 0.1448 Ac
0.0000 0.0000 0.8552 Ac
0.5000 0.5000 0.3552 Ac
0.5000 0.5000 0.6448 Ac
0.0000 0.0000 0.5000 Sn
0.5000 0.5000 0.0000 Sn
0.0000 0.0000 0.3256 Se
0.0000 0.0000 0.6744 Se
0.0000 0.5000 0.5000 Se
0.5000 0.0000 0.0000 Se
0.5000 0.5000 0.1744 Se
0.5000 0.5000 0.8256 Se
```

Top 10 peaks for 2θ from 10° to 80°, sorted by position:
| d_spacing | intensity |
| --- | --- |
| 3.949 | 318 |
| 3.260 | 496 |
| 3.223 | 1000 |
| 2.841 | 374 |
| 2.746 | 513 |
| 2.571 | 420 |
| 2.131 | 422 |
| 2.100 | 303 |
| 1.975 | 264 |
| 1.612 | 227 |

=====

# 9
Structure and computed powder diffraction line list of Ac4Sn2TeSe (the PBE geometry in Alexandria; Cu Kα (λ = 1.5418 Å)).

```
Ac4Sn2TeSe
1.0
8.1637 0.0000 0.0000
0.0000 4.7636 0.0000
-2.7797 0.0000 7.7916
Ac Sn Te Se
4 2 1 1
Direct
0.2429 0.0000 0.2414 Ac
0.2471 0.5000 0.7549 Ac
0.7529 0.5000 0.2451 Ac
0.7571 0.0000 0.7586 Ac
0.0000 0.0000 0.5000 Sn
0.0000 0.5000 0.0000 Sn
0.5000 0.5000 0.5000 Te
0.5000 0.0000 0.0000 Se
```

Top 10 peaks for 2θ from 10° to 80°, sorted by position:
| d_spacing | intensity |
| --- | --- |
| 3.889 | 149 |
| 3.358 | 1000 |
| 2.385 | 401 |
| 2.364 | 391 |
| 1.943 | 147 |
| 1.679 | 139 |
| 1.508 | 130 |
| 1.496 | 128 |
| 1.376 | 96 |
| 1.372 | 96 |

=====

# 10
Structure and computed powder diffraction line list of Sr3AcSe4 (the PBE geometry in Alexandria; Cu Kα (λ = 1.5418 Å)).

```
Sr3AcSe4
1.0
8.9068 0.0000 0.0000
0.0000 12.5836 0.0000
0.0000 0.0000 4.4451
Sr Ac Se
6 2 8
Direct
0.0000 0.0000 0.0000 Sr
0.2500 0.2500 0.5000 Sr
0.2500 0.7500 0.5000 Sr
0.5000 0.5000 0.0000 Sr
0.7500 0.2500 0.5000 Sr
0.7500 0.7500 0.5000 Sr
0.0000 0.5000 0.0000 Ac
0.5000 0.0000 0.0000 Ac
0.0000 0.2502 0.0000 Se
0.0000 0.7498 0.0000 Se
0.2488 0.0000 0.5000 Se
0.2512 0.5000 0.5000 Se
0.5000 0.2498 0.0000 Se
0.5000 0.7502 0.0000 Se
0.7488 0.5000 0.5000 Se
0.7512 0.0000 0.5000 Se
```

Top 10 peaks for 2θ from 10° to 80°, sorted by position:
| d_spacing | intensity |
| --- | --- |
| 7.270 | 115 |
| 3.793 | 83 |
| 3.633 | 78 |
| 3.146 | 1000 |
| 2.225 | 761 |
| 1.816 | 272 |
| 1.573 | 128 |
| 1.407 | 294 |
| 1.285 | 174 |
| 1.284 | 87 |

=====

> What is the formula in the eighth record?

Ac2SnSe3